Diffraction record for PrIn2Rh. The powder X-ray diffraction pattern is theoretical, not measured: it uses a structure optimized by DFT (PBE) and Cu Kα.

Most intense lines, 5° ≤ 2θ ≤ 70°, in order of falling intensity:
- 31.14 deg, I 100, (1 1 2)
- 34.67 deg, I 72, (1 3 1)
- 40.43 deg, I 40, (2 0 0)
- 36.43 deg, I 31, (0 4 1)
- 40.15 deg, I 28, (1 1 3)
- 39.88 deg, I 27, (1 3 2)
- 37.74 deg, I 26, (0 2 3)
- 32.79 deg, I 24, (1 3 0)
- 55.55 deg, I 18, (2 4 1)
- 66.55 deg, I 18, (1 7 0)

Atomic structure:
Unit cell a=4.462 b=10.363 c=8.055 alpha=90.00 beta=90.00 gamma=90.00
Space group Cmcm (No. 63)
Unique sites:
Pr  0.000  0.068  0.250 [4 per cell]
In  0.000  0.354  0.051 [8 per cell]
Rh  0.000  0.217  0.750 [4 per cell]


Diffraction record for Pr3InSe6. The powder X-ray diffraction pattern is theoretical, not measured: it uses a structure optimized by DFT (PBE) and Cu Kα.

Most intense lines, 5° ≤ 2θ ≤ 70°, in order of falling intensity:
- 32.08 deg, I 100, (3 3 1)
- 33.11 deg, I 80, (0 5 1)
- 43.35 deg, I 71, (0 0 2)
- 31.19 deg, I 69, (5 1 0)
- 30.00 deg, I 63, (1 4 1)
- 23.48 deg, I 46, (2 4 0)
- 38.04 deg, I 45, (5 1 1)
- 31.90 deg, I 42, (2 4 1)
- 41.64 deg, I 38, (0 7 1)
- 28.90 deg, I 35, (2 3 1)

Atomic structure:
Unit cell a=14.545 b=17.756 c=4.175 alpha=90.00 beta=90.00 gamma=90.00
Space group Pnnm (No. 58)
Unique sites:
Pr  0.041  0.223  0.000 [4 per cell]
Pr  0.186  0.645  0.000 [4 per cell]
Pr  0.248  0.894  0.500 [4 per cell]
In  0.000  0.000  0.500 [2 per cell]
In  0.000  0.500  0.500 [2 per cell]
Se  0.023  0.397  0.000 [4 per cell]
Se  0.094  0.915  0.000 [4 per cell]
Se  0.111  0.749  0.500 [4 per cell]
Se  0.113  0.115  0.500 [4 per cell]
Se  0.182  0.285  0.500 [4 per cell]
Se  0.190  0.519  0.500 [4 per cell]


Diffraction record for PrTl2InSe4. The powder X-ray diffraction pattern is theoretical, not measured: it uses a structure optimized by DFT (PBE) and Cu Kα.

Most intense lines, 5° ≤ 2θ ≤ 70°, in order of falling intensity:
- 33.03 deg, I 100, (2 0 2)
- 31.24 deg, I 50, (2 2 0)
- 21.95 deg, I 37, (2 0 0)
- 56.75 deg, I 24, (4 2 2)
- 40.01 deg, I 23, (2 2 2)
- 27.49 deg, I 21, (2 1 1)
- 50.40 deg, I 20, (4 2 0)
- 51.62 deg, I 19, (4 0 2)
- 44.79 deg, I 15, (4 0 0)
- 60.09 deg, I 15, (2 2 4)

Atomic structure:
Unit cell a=8.098 b=8.098 c=7.305 alpha=90.00 beta=90.00 gamma=90.00
Space group I-42m (No. 121)
Unique sites:
Pr  0.000  0.000  0.000 [2 per cell]
Tl  0.000  0.500  0.000 [4 per cell]
In  0.000  0.000  0.500 [2 per cell]
Se  0.182  0.182  0.724 [8 per cell]


Diffraction record for Pr2Tl3In3. The powder X-ray diffraction pattern is theoretical, not measured: it uses a structure optimized by DFT (PBE) and Cu Kα.

Most intense lines, 5° ≤ 2θ ≤ 70°, in order of falling intensity:
- 32.28 deg, I 100, (1 1 2)
- 37.09 deg, I 17, (0 2 0)
- 37.34 deg, I 17, (2 0 0)
- 37.90 deg, I 16, (0 0 4)
- 63.84 deg, I 14, (1 3 2)
- 64.19 deg, I 14, (3 1 2)
- 64.94 deg, I 13, (1 1 6)
- 53.65 deg, I 12, (2 2 0)
- 67.56 deg, I 12, (2 2 4)
- 54.07 deg, I 12, (0 2 4)

Atomic structure:
Unit cell a=4.816 b=4.848 c=9.496 alpha=90.00 beta=90.00 gamma=90.00
Space group Pmmm (No. 47)
Unique sites:
Pr  0.000  0.000  0.249 [2 per cell]
Tl  0.000  0.500  0.500 [1 per cell]
Tl  0.500  0.000  0.000 [1 per cell]
Tl  0.500  0.000  0.500 [1 per cell]
In  0.000  0.500  0.000 [1 per cell]
In  0.500  0.500  0.247 [2 per cell]


Diffraction record for Pr2TlIn. The powder X-ray diffraction pattern is theoretical, not measured: it uses a structure optimized by DFT (PBE) and Cu Kα.

Most intense lines, 5° ≤ 2θ ≤ 70°, in order of falling intensity:
- 32.23 deg, I 100, (2 2 0)
- 57.46 deg, I 38, (4 2 2)
- 46.22 deg, I 18, (4 0 0)
- 67.43 deg, I 12, (4 4 0)
- 19.57 deg, I 4, (1 1 1)
- 37.98 deg, I 2, (3 1 1)
- 50.64 deg, I 1, (3 3 1)
- 61.31 deg, I 1, (5 1 1)

Atomic structure:
Unit cell a=7.857 b=7.857 c=7.857 alpha=90.00 beta=90.00 gamma=90.00
Space group Fm-3m (No. 225)
Unique sites:
Pr  0.250  0.250  0.250 [8 per cell]
Tl  0.000  0.000  0.000 [4 per cell]
In  0.000  0.000  0.500 [4 per cell]


Diffraction record for Pr2ZnIn. The powder X-ray diffraction pattern is theoretical, not measured: it uses a structure optimized by DFT (PBE) and Cu Kα.

Most intense lines, 5° ≤ 2θ ≤ 70°, in order of falling intensity:
- 31.38 deg, I 100, (2 2 0)
- 55.87 deg, I 38, (4 2 2)
- 44.98 deg, I 18, (4 0 0)
- 65.50 deg, I 12, (4 4 0)
- 22.05 deg, I 5, (2 0 0)
- 50.64 deg, I 2, (4 2 0)
- 19.07 deg, I 2, (1 1 1)
- 38.69 deg, I 2, (2 2 2)
- 36.98 deg, I 1, (3 1 1)
- 49.27 deg, I 1, (3 3 1)

Atomic structure:
Unit cell a=8.062 b=8.062 c=8.062 alpha=90.00 beta=90.00 gamma=90.00
Space group Fm-3m (No. 225)
Unique sites:
Pr  0.250  0.250  0.250 [8 per cell]
Zn  0.000  0.000  0.000 [4 per cell]
In  0.000  0.000  0.500 [4 per cell]


Diffraction record for In2Pt. The powder X-ray diffraction pattern is theoretical, not measured: it uses a structure optimized by DFT (PBE) and Cu Kα.

Most intense lines, 5° ≤ 2θ ≤ 70°, in order of falling intensity:
- 39.33 deg, I 100, (2 2 0)
- 23.79 deg, I 50, (1 1 1)
- 46.49 deg, I 25, (3 1 1)
- 56.84 deg, I 17, (4 0 0)
- 62.48 deg, I 11, (3 3 1)
- 27.53 deg, I 1, (2 0 0)

Atomic structure:
Unit cell a=6.479 b=6.479 c=6.479 alpha=90.00 beta=90.00 gamma=90.00
Space group Fm-3m (No. 225)
Unique sites:
In  0.250  0.250  0.250 [8 per cell]
Pt  0.000  0.000  0.000 [4 per cell]